Record 1
NdHoPt10: simulated powder diffraction line list (Cu Kα (weighted mean of Kα1 and Kα2)), based on DFT lattice parameters and positions (GGA-PBE).
Kinematic intensities with the Lorentz-polarization factor, no thermal factor.

Largest 12 diffraction maxima, in order of rising 2θ, 10 to 90 degrees two-theta:
- (0 0 2), 19.04°, I = 45
- (0 2 2), 38.58°, I = 28
- (1 2 0), 39.03°, I = 51
- (1 1 3), 39.15°, I = 100
- (2 0 0), 40.51°, I = 53
- (1 2 2), 43.80°, I = 52
- (1 0 4), 43.95°, I = 25
- (2 2 2), 57.18°, I = 18
- (1 3 3), 63.33°, I = 25
- (0 2 6), 70.03°, I = 21
- (3 2 0), 72.75°, I = 25
- (2 2 6), 84.16°, I = 27

Structure:
Cell: 4.454 5.396 9.295 Å, 90.00 90.00 90.00°
Space group Pmmm (No. 47)
One atom of each set of equivalent atoms:
1 Nd 0.000 0.000 0.000 (multiplicity 1)
2 Ho 0.000 0.500 0.500 (multiplicity 1)
3 Pt 0.000 0.000 0.337 (multiplicity 2)
4 Pt 0.000 0.500 0.171 (multiplicity 2)
5 Pt 0.500 0.000 0.500 (multiplicity 1)
6 Pt 0.500 0.251 0.252 (multiplicity 4)
7 Pt 0.500 0.500 0.000 (multiplicity 1)

Record 2
LuSnIrAu: simulated powder diffraction line list (Cu Kα (weighted mean of Kα1 and Kα2)), based on DFT lattice parameters and positions (GGA-PBE).
Kinematic intensities with the Lorentz-polarization factor, no thermal factor.

Largest 9 diffraction maxima, in order of rising 2θ, 10 to 90 degrees two-theta:
- (1 1 1), 22.71°, I = 1
- (2 0 0), 26.28°, I = 2
- (2 2 0), 37.51°, I = 100
- (3 1 1), 44.29°, I = 1
- (2 2 2), 46.38°, I = 1
- (4 0 0), 54.09°, I = 18
- (4 2 0), 61.11°, I = 1
- (4 2 2), 67.68°, I = 36
- (4 4 0), 80.03°, I = 12

Structure:
Cell: 6.782 6.782 6.782 Å, 90.00 90.00 90.00°
Space group F-43m (No. 216)
One atom of each set of equivalent atoms:
1 Lu 0.000 0.000 0.000 (multiplicity 4)
2 Sn 0.000 0.000 0.500 (multiplicity 4)
3 Ir 0.250 0.250 0.750 (multiplicity 4)
4 Au 0.250 0.250 0.250 (multiplicity 4)